Diffraction record for CaSm2Y2. The powder diffraction line list is computed, not measured: it uses a cell relaxed with GGA-PBE and Cu Kα, 1.54184 Å.
No peak broadening, texture or thermal motion is included.

Main lines, low angle first (10 to 90 degrees two-theta):
d (Å), I/Imax
5.340, 26
4.385, 22
2.974, 100
2.963, 90
2.803, 53
2.765, 60
2.673, 61
1.968, 44
1.648, 36
1.528, 26

Cell and atoms:
a = 9.2078 Å, b = 9.2078 Å, c = 3.5613 Å
α = 90.00°, β = 90.00°, γ = 144.56°
Fractional coordinates of all 5 atoms:
Ca  0.0000  0.0000  0.0000
Sm  0.3803  0.6197  0.5000
Sm  0.6197  0.3803  0.5000
Y  0.2011  0.7989  0.0000
Y  0.7989  0.2011  0.0000


Diffraction record for Sr4Ca2TlCu4PbO14. The powder diffraction line list is computed, not measured: it uses a cell relaxed with GGA-PBE and Cu Kα, 1.54184 Å.
No peak broadening, texture or thermal motion is included.

Main lines, low angle first (10 to 90 degrees two-theta):
d (Å), I/Imax
3.230, 52
2.785, 100
2.683, 74
2.622, 17
2.460, 20
2.022, 19
1.897, 39
1.813, 20
1.636, 16
1.568, 36

Cell and atoms:
a = 12.8726 Å, b = 12.8726 Å, c = 12.8726 Å
α = 155.94°, β = 155.94°, γ = 34.29°
Fractional coordinates of all 26 atoms:
Sr  0.1074  0.6074  0.5000
Sr  0.3926  0.8926  0.5000
Sr  0.6074  0.1074  0.5000
Sr  0.8926  0.3926  0.5000
Ca  0.2500  0.7500  0.5000
Ca  0.7500  0.2500  0.5000
Tl  0.0000  0.0000  0.0000
Cu  0.1800  0.1800  0.0000
Cu  0.3208  0.3208  0.0000
Cu  0.6792  0.6792  0.0000
Cu  0.8200  0.8200  0.0000
Pb  0.5000  0.5000  0.0000
O  0.0000  0.5000  0.5000
O  0.0641  0.0641  0.4998
O  0.0641  0.5643  0.0000
O  0.0851  0.0851  0.0000
O  0.4131  0.4131  0.0000
O  0.4357  0.4357  0.4998
O  0.4357  0.9359  0.0000
O  0.5000  0.0000  0.5000
O  0.5643  0.0641  0.0000
O  0.5643  0.5643  0.5002
O  0.5869  0.5869  0.0000
O  0.9149  0.9149  0.0000
O  0.9359  0.4357  0.0000
O  0.9359  0.9359  0.5002


Diffraction record for K5CuO3. The powder diffraction line list is computed, not measured: it uses a cell relaxed with GGA-PBE and Cu Kα, 1.54184 Å.
No peak broadening, texture or thermal motion is included.

Main lines, low angle first (10 to 90 degrees two-theta):
d (Å), I/Imax
4.256, 47
3.231, 30
3.203, 60
3.035, 100
2.934, 70
2.844, 49
2.803, 43
2.660, 38
2.601, 33
2.346, 44

Cell and atoms:
a = 6.7537 Å, b = 6.7537 Å, c = 9.7914 Å
α = 96.30°, β = 96.30°, γ = 78.12°
Fractional coordinates of all 18 atoms:
K  0.0686  0.0686  0.3711
K  0.1595  0.5339  0.2949
K  0.1948  0.8052  0.0000
K  0.2756  0.2756  0.9180
K  0.4661  0.8405  0.7051
K  0.5339  0.1595  0.2949
K  0.7244  0.7244  0.0820
K  0.8052  0.1948  0.0000
K  0.8405  0.4661  0.7051
K  0.9314  0.9314  0.6289
Cu  0.3492  0.3492  0.5805
Cu  0.6508  0.6508  0.4195
O  0.1674  0.1674  0.1517
O  0.1922  0.1922  0.6385
O  0.5000  0.5000  0.0000
O  0.5000  0.5000  0.5000
O  0.8078  0.8078  0.3615
O  0.8326  0.8326  0.8483


Diffraction record for NdZn9Pt2. The powder diffraction line list is computed, not measured: it uses a cell relaxed with GGA-PBE and Cu Kα, 1.54184 Å.
No peak broadening, texture or thermal motion is included.

Main lines, low angle first (10 to 90 degrees two-theta):
d (Å), I/Imax
5.813, 40
3.926, 61
2.717, 94
2.662, 43
2.416, 93
2.381, 68
2.260, 58
2.080, 41
2.036, 100
1.963, 100

Cell and atoms:
a = 8.2899 Å, b = 8.2899 Å, c = 8.2899 Å
α = 100.09°, β = 100.09°, γ = 130.52°
Fractional coordinates of all 24 atoms:
Nd  0.3750  0.6250  0.7500
Nd  0.6250  0.3750  0.2500
Zn  0.1250  0.8750  0.2500
Zn  0.1342  0.5561  0.3350
Zn  0.1342  0.7992  0.5782
Zn  0.2008  0.2789  0.3350
Zn  0.2008  0.8658  0.9218
Zn  0.2789  0.2008  0.8350
Zn  0.2789  0.4439  0.0782
Zn  0.4439  0.2789  0.5782
Zn  0.4439  0.8658  0.1650
Zn  0.5561  0.1342  0.8350
Zn  0.5561  0.7211  0.4218
Zn  0.7211  0.5561  0.9218
Zn  0.7211  0.7992  0.1650
Zn  0.7992  0.1342  0.0782
Zn  0.7992  0.7211  0.6650
Zn  0.8658  0.2008  0.4218
Zn  0.8658  0.4439  0.6650
Zn  0.8750  0.1250  0.7500
Pt  0.0000  0.0000  0.0000
Pt  0.0000  0.0000  0.5000
Pt  0.0000  0.5000  0.0000
Pt  0.5000  0.0000  0.5000


Diffraction record for Sr3VCl8. The powder diffraction line list is computed, not measured: it uses a cell relaxed with GGA-PBE and Cu Kα, 1.54184 Å.
No peak broadening, texture or thermal motion is included.

Main lines, low angle first (10 to 90 degrees two-theta):
d (Å), I/Imax
6.820, 96
5.212, 92
3.477, 21
3.357, 21
3.103, 54
2.872, 100
2.279, 16
2.108, 62
2.041, 16
2.021, 15

Cell and atoms:
a = 7.4277 Å, b = 7.4277 Å, c = 8.0825 Å
α = 90.00°, β = 90.00°, γ = 113.34°
Fractional coordinates of all 12 atoms:
Sr  0.0000  0.0000  0.0000
Sr  0.0000  0.5000  0.7396
Sr  0.5000  0.0000  0.2604
V  0.0000  0.0000  0.5000
Cl  0.2021  0.7979  0.5000
Cl  0.2076  0.2347  0.7198
Cl  0.2333  0.7667  0.0000
Cl  0.2347  0.2076  0.2802
Cl  0.7653  0.7924  0.2802
Cl  0.7667  0.2333  0.0000
Cl  0.7924  0.7653  0.7198
Cl  0.7979  0.2021  0.5000


Diffraction record for Rb3Pa2Br2O5. The powder diffraction line list is computed, not measured: it uses a cell relaxed with GGA-PBE and Cu Kα, 1.54184 Å.
No peak broadening, texture or thermal motion is included.

Main lines, low angle first (10 to 90 degrees two-theta):
d (Å), I/Imax
4.411, 51
3.458, 43
3.410, 17
3.161, 90
2.938, 100
2.318, 18
2.235, 46
1.846, 19
1.779, 47
1.594, 17

Cell and atoms:
a = 14.0030 Å, b = 14.0030 Å, c = 14.0030 Å
α = 161.63°, β = 161.63°, γ = 26.09°
Fractional coordinates of all 12 atoms:
Rb  0.0000  0.0000  0.0000
Rb  0.1672  0.1672  0.0000
Rb  0.8328  0.8328  0.0000
Pa  0.4200  0.4200  0.0000
Pa  0.5800  0.5800  0.0000
Br  0.3057  0.3057  0.0000
Br  0.6943  0.6943  0.0000
O  0.0836  0.5836  0.5000
O  0.4164  0.9164  0.5000
O  0.5000  0.5000  0.0000
O  0.5836  0.0836  0.5000
O  0.9164  0.4164  0.5000


Diffraction record for Cd8PdAu5. The powder diffraction line list is computed, not measured: it uses a cell relaxed with GGA-PBE and Cu Kα, 1.54184 Å.
No peak broadening, texture or thermal motion is included.

Main lines, low angle first (10 to 90 degrees two-theta):
d (Å), I/Imax
3.418, 19
3.403, 13
2.650, 100
2.631, 45
2.237, 67
2.228, 42
1.873, 23
1.781, 14
1.709, 13
1.359, 22

Cell and atoms:
a = 7.2399 Å, b = 7.2399 Å, c = 7.2399 Å
α = 109.25°, β = 109.25°, γ = 109.92°
Fractional coordinates of all 14 atoms:
Cd  0.0446  0.1329  0.7547
Cd  0.2203  0.4654  0.5948
Cd  0.3745  0.7797  0.2450
Cd  0.3782  0.2899  0.2453
Cd  0.5346  0.1294  0.7550
Cd  0.7101  0.9554  0.0883
Cd  0.8671  0.6218  0.9117
Cd  0.8706  0.6255  0.4052
Pd  0.5000  0.5000  0.0000
Au  0.1301  0.0023  0.3737
Au  0.2436  0.8699  0.8722
Au  0.6286  0.7564  0.6263
Au  0.7500  0.2500  0.5000
Au  0.9977  0.3714  0.1278


Diffraction record for Cs2Mg2NpTe4. The powder diffraction line list is computed, not measured: it uses a cell relaxed with GGA-PBE and Cu Kα, 1.54184 Å.
No peak broadening, texture or thermal motion is included.

Main lines, low angle first (10 to 90 degrees two-theta):
d (Å), I/Imax
8.192, 28
3.347, 46
3.244, 100
3.074, 24
3.037, 23
2.747, 35
2.516, 24
2.312, 28
2.111, 22
2.058, 27

Cell and atoms:
a = 8.8766 Å, b = 8.8766 Å, c = 9.1059 Å
α = 106.47°, β = 106.47°, γ = 30.20°
Fractional coordinates of all 9 atoms:
Cs  0.1274  0.1274  0.0481
Cs  0.8726  0.8726  0.9519
Mg  0.3305  0.3305  0.5199
Mg  0.6695  0.6695  0.4801
Np  0.0000  0.0000  0.5000
Te  0.2027  0.2027  0.6708
Te  0.4843  0.4843  0.7326
Te  0.5157  0.5157  0.2674
Te  0.7973  0.7973  0.3292


Diffraction record for LaPuF6. The powder diffraction line list is computed, not measured: it uses a cell relaxed with GGA-PBE and Cu Kα, 1.54184 Å.
No peak broadening, texture or thermal motion is included.

Main lines, low angle first (10 to 90 degrees two-theta):
d (Å), I/Imax
3.970, 93
3.346, 100
2.807, 20
2.151, 78
1.985, 20
1.845, 23
1.775, 18
1.707, 23
1.459, 17
1.351, 15

Cell and atoms:
a = 5.6144 Å, b = 5.6144 Å, c = 8.3348 Å
α = 90.00°, β = 90.00°, γ = 90.00°
Fractional coordinates of all 16 atoms:
La  0.0000  0.0000  0.0000
La  0.0000  0.0000  0.5000
Pu  0.5000  0.5000  0.2500
Pu  0.5000  0.5000  0.7500
F  0.1978  0.2417  0.1820
F  0.1978  0.2417  0.8180
F  0.2417  0.8022  0.3180
F  0.2417  0.8022  0.6820
F  0.3064  0.3297  0.5000
F  0.3297  0.6936  0.0000
F  0.6703  0.3064  0.0000
F  0.6936  0.6703  0.5000
F  0.7583  0.1978  0.3180
F  0.7583  0.1978  0.6820
F  0.8022  0.7583  0.1820
F  0.8022  0.7583  0.8180


Diffraction record for La3PmNd3S8. The powder diffraction line list is computed, not measured: it uses a cell relaxed with GGA-PBE and Cu Kα, 1.54184 Å.
No peak broadening, texture or thermal motion is included.

Main lines, low angle first (10 to 90 degrees two-theta):
d (Å), I/Imax
3.377, 16
3.340, 46
2.900, 100
2.059, 37
2.043, 36
1.748, 16
1.670, 19
1.301, 16
1.293, 16
1.183, 12

Cell and atoms:
a = 8.2378 Å, b = 8.2378 Å, c = 8.2378 Å
α = 59.46°, β = 59.46°, γ = 59.46°
Fractional coordinates of all 15 atoms:
La  0.0000  0.5000  0.5000
La  0.5000  0.0000  0.5000
La  0.5000  0.5000  0.0000
Pm  0.5000  0.5000  0.5000
Nd  0.0000  0.0000  0.5000
Nd  0.0000  0.5000  0.0000
Nd  0.5000  0.0000  0.0000
S  0.2485  0.2485  0.2485
S  0.2509  0.7459  0.7459
S  0.2541  0.2541  0.7491
S  0.2541  0.7491  0.2541
S  0.7459  0.2509  0.7459
S  0.7459  0.7459  0.2509
S  0.7491  0.2541  0.2541
S  0.7515  0.7515  0.7515


Diffraction record for Hf5HAu2. The powder diffraction line list is computed, not measured: it uses a cell relaxed with GGA-PBE and Cu Kα, 1.54184 Å.
No peak broadening, texture or thermal motion is included.

Main lines, low angle first (10 to 90 degrees two-theta):
d (Å), I/Imax
4.868, 11
4.583, 7
2.434, 100
2.292, 42
1.844, 11
1.620, 15
1.437, 20
1.349, 32
1.217, 12
1.149, 10

Cell and atoms:
a = 5.8823 Å, b = 5.8823 Å, c = 5.8823 Å
α = 113.14°, β = 113.14°, γ = 102.37°
Fractional coordinates of all 8 atoms:
Hf  0.0000  0.0000  0.0000
Hf  0.0075  0.0075  0.5050
Hf  0.0075  0.5025  0.0000
Hf  0.5025  0.0075  0.0000
Hf  0.5025  0.5025  0.4950
H  0.7242  0.7242  0.0000
Au  0.0048  0.5048  0.5000
Au  0.5048  0.0048  0.5000


Diffraction record for La7Sn2Te2. The powder diffraction line list is computed, not measured: it uses a cell relaxed with GGA-PBE and Cu Kα, 1.54184 Å.
No peak broadening, texture or thermal motion is included.

Main lines, low angle first (10 to 90 degrees two-theta):
d (Å), I/Imax
3.832, 62
3.575, 42
3.264, 46
2.950, 75
2.571, 41
2.560, 100
2.337, 29
2.247, 22
1.787, 20
1.617, 22

Cell and atoms:
a = 7.4159 Å, b = 7.4159 Å, c = 7.3386 Å
α = 90.00°, β = 90.00°, γ = 105.41°
Fractional coordinates of all 11 atoms:
La  0.0000  0.0000  0.0000
La  0.0000  0.5000  0.2907
La  0.0000  0.5000  0.7093
La  0.5000  0.0000  0.2907
La  0.5000  0.0000  0.7093
La  0.5000  0.5000  0.2587
La  0.5000  0.5000  0.7413
Sn  0.1730  0.1730  0.5000
Sn  0.8270  0.8270  0.5000
Te  0.2734  0.7266  0.0000
Te  0.7266  0.2734  0.0000